Entry 1:
Starting from a DFT-relaxed cell (PBE, OQMD), the powder diffraction line list of SmHoGeI2 was simulated for Cu Kα.

Cell and atoms:
```
data_SmHoGeI2
_chemical_formula_sum 'Sm1 Ho1 Ge1 I2'
_space_group_name_H-M_alt 'P 3 m 1'
_space_group_IT_number 156
_cell_length_a 4.2727
_cell_length_b 4.2727
_cell_length_c 11.1459
_cell_angle_alpha 90.00
_cell_angle_beta 90.00
_cell_angle_gamma 120.00
loop_
_space_group_symop_operation_xyz
'x,y,z'
'-y,x-y,z'
'-x+y,-x,z'
'-y,-x,z'
'-x+y,y,z'
'x,x-y,z'
loop_
_atom_site_label
_atom_site_fract_x
_atom_site_fract_y
_atom_site_fract_z
_atom_site_occupancy
Sm1 0.0000 0.0000 0.0000 1
Ho1 0.6667 0.3333 0.2831 1
Ge1 0.3333 0.6667 0.1454 1
I1 0.0000 0.0000 0.4601 1
I2 0.6667 0.3333 0.8153 1
```

The 10 most intense peaks (5° ≤ 2θ ≤ 70°), in order of falling intensity:
Position (°2θ)	d/Å	I_rel	index
29.0	3.083	100	0 1 2
7.9	11.146	36	0 0 1
42.3	2.136	32	1 1 0
40.5	2.226	31	1 0 4
52.1	1.756	19	2 0 2
69.3	1.357	16	1 2 2
24.0	3.701	15	1 0 0
60.0	1.542	11	0 2 4
34.2	2.622	11	0 1 3
66.7	1.402	10	1 1 6

=====

Entry 2:
Starting from a DFT-relaxed cell (PBE, OQMD), the powder diffraction line list of Ho11In6Ge4 was simulated for Cu Kα.

Cell and atoms:
```
data_Ho11In6Ge4
_chemical_formula_sum 'Ho44 In24 Ge16'
_space_group_name_H-M_alt 'I 4/m m m'
_space_group_IT_number 139
_space_group_name_Hall '-I 4 2'
_cell_length_a 11.4710
_cell_length_b 11.4710
_cell_length_c 16.2232
_cell_angle_alpha 90.00
_cell_angle_beta 90.00
_cell_angle_gamma 90.00
loop_
_atom_site_label
_atom_site_fract_x
_atom_site_fract_y
_atom_site_fract_z
_atom_site_occupancy
Ho1 0.0000 0.0000 0.1681 1
Ho2 0.0000 0.2494 0.3142 1
Ho3 0.0000 0.3458 0.1016 1
Ho4 0.1684 0.1684 0.5000 1
In1 0.1288 0.1288 0.0000 1
In2 0.2059 0.2059 0.1712 1
Ge1 0.0000 0.0000 0.3818 1
Ge2 0.0000 0.3473 0.5000 1
Ge3 0.0000 0.5000 0.2500 1
```

The 10 most intense peaks (5° ≤ 2θ ≤ 70°), in order of falling intensity:
Position (°2θ)	d/Å	I_rel	index
32.7	2.742	100	3 2 3
33.1	2.704	91	3 3 0
36.3	2.474	24	3 0 5
65.9	1.417	23	7 2 5
35.0	2.565	20	3 3 2
56.7	1.622	16	0 0 10
47.6	1.912	16	6 0 0
42.8	2.112	13	5 0 3
67.3	1.391	13	3 3 10
31.2	2.868	12	4 0 0

=====

Entry 3:
Starting from a DFT-relaxed cell (PBE, OQMD), the powder diffraction line list of Ho4InGe4Ir2 was simulated for Cu Kα.

Cell and atoms:
```
data_Ho4InGe4Ir2
_chemical_formula_sum 'Ho8 In2 Ge8 Ir4'
_space_group_name_H-M_alt 'C 1 2/m 1'
_space_group_IT_number 12
_cell_length_a 15.7112
_cell_length_b 4.2716
_cell_length_c 6.9909
_cell_angle_alpha 90.00
_cell_angle_beta 106.85
_cell_angle_gamma 90.00
loop_
_space_group_symop_operation_xyz
'x,y,z'
'-x,-y,-z'
'-x,y,-z'
'x,-y,z'
'x+1/2,y+1/2,z'
'-x+1/2,-y+1/2,-z'
'-x+1/2,y+1/2,-z'
'x+1/2,-y+1/2,z'
loop_
_atom_site_label
_atom_site_fract_x
_atom_site_fract_y
_atom_site_fract_z
_atom_site_occupancy
Ho1 0.0873 0.0000 0.3868 1
Ho2 0.1551 0.0000 0.9295 1
In1 0.0000 0.5000 0.0000 1
Ge1 0.0641 0.5000 0.6604 1
Ge2 0.1983 0.5000 0.2498 1
Ir1 0.2195 0.5000 0.6281 1
```

The 10 most intense peaks (5° ≤ 2θ ≤ 70°), in order of falling intensity:
Position (°2θ)	d/Å	I_rel	index
35.9	2.499	100	1 1 2
35.8	2.509	79	5 1 -1
42.3	2.136	78	0 2 0
36.5	2.459	61	5 1 0
32.8	2.729	61	3 1 1
33.2	2.701	58	1 1 -2
34.7	2.587	46	3 1 -2
11.8	7.518	37	2 0 0
42.0	2.151	35	6 0 1
38.1	2.361	34	6 0 -2

=====

Entry 4:
Starting from a DFT-relaxed cell (PBE, OQMD), the powder diffraction line list of HoTm2In3NiGe2 was simulated for Cu Kα.

Cell and atoms:
```
data_HoTm2In3NiGe2
_chemical_formula_sum 'Ho2 Tm4 In6 Ni2 Ge4'
_space_group_name_H-M_alt 'A m m 2'
_space_group_IT_number 38
_cell_length_a 4.2073
_cell_length_b 12.6066
_cell_length_c 7.2663
_cell_angle_alpha 90.00
_cell_angle_beta 90.00
_cell_angle_gamma 90.00
loop_
_space_group_symop_operation_xyz
'x,y,z'
'-x,-y,z'
'-x,y,z'
'x,-y,z'
'x,y+1/2,z+1/2'
'-x,-y+1/2,z+1/2'
'-x,y+1/2,z+1/2'
'x,-y+1/2,z+1/2'
loop_
_atom_site_label
_atom_site_fract_x
_atom_site_fract_y
_atom_site_fract_z
_atom_site_occupancy
Ho1 0.0000 0.0000 0.0000 1
Tm1 0.0000 0.2014 0.3954 1
In1 0.5000 0.0000 0.3561 1
In2 0.5000 0.1201 0.7163 1
Ni1 0.0000 0.0000 0.5947 1
Ge1 0.5000 0.1675 0.0970 1
```

The 10 most intense peaks (5° ≤ 2θ ≤ 70°), in order of falling intensity:
Position (°2θ)	d/Å	I_rel	index
32.5	2.751	100	1 0 2
35.6	2.521	63	1 2 2
37.8	2.380	46	0 5 1
43.0	2.103	31	2 0 0
58.6	1.576	26	2 5 1
57.1	1.613	21	1 7 1
43.7	2.072	14	1 5 1
68.7	1.366	13	1 1 5
43.1	2.098	13	0 3 3
62.5	1.486	12	2 3 3

=====

Entry 5:
Starting from a DFT-relaxed cell (PBE, OQMD), the powder diffraction line list of Ho2Tm2InNi2Ge4 was simulated for Cu Kα.

Cell and atoms:
```
data_Ho2Tm2InNi2Ge4
_chemical_formula_sum 'Ho4 Tm4 In2 Ni4 Ge8'
_space_group_name_H-M_alt 'C 1 2/m 1'
_space_group_IT_number 12
_cell_length_a 15.4034
_cell_length_b 4.2101
_cell_length_c 7.0172
_cell_angle_alpha 90.00
_cell_angle_beta 108.55
_cell_angle_gamma 90.00
loop_
_space_group_symop_operation_xyz
'x,y,z'
'-x,-y,-z'
'-x,y,-z'
'x,-y,z'
'x+1/2,y+1/2,z'
'-x+1/2,-y+1/2,-z'
'-x+1/2,y+1/2,-z'
'x+1/2,-y+1/2,z'
loop_
_atom_site_label
_atom_site_fract_x
_atom_site_fract_y
_atom_site_fract_z
_atom_site_occupancy
Ho1 0.1555 0.0000 0.4372 1
Tm1 0.0918 0.0000 0.8914 1
In1 0.0000 0.5000 0.5000 1
Ni1 0.2170 0.5000 0.1423 1
Ge1 0.0654 0.5000 0.1624 1
Ge2 0.2031 0.5000 0.7699 1
```

The 10 most intense peaks (5° ≤ 2θ ≤ 70°), in order of falling intensity:
Position (°2θ)	d/Å	I_rel	index
34.7	2.585	100	3 1 -2
33.6	2.664	74	3 1 1
36.4	2.465	55	1 1 2
43.0	2.105	52	0 2 0
36.3	2.473	37	5 1 -1
37.5	2.400	35	5 1 0
35.0	2.564	29	6 0 -1
28.0	3.184	27	3 1 0
32.9	2.718	22	2 0 2
38.2	2.353	22	6 0 -2

=====

Entry 6:
Starting from a DFT-relaxed cell (PBE, OQMD), the powder diffraction line list of Ho2Tm2InNi2Ge4 was simulated for Cu Kα.

Cell and atoms:
```
data_Ho2Tm2InNi2Ge4
_chemical_formula_sum 'Ho4 Tm4 In2 Ni4 Ge8'
_space_group_name_H-M_alt 'C 1 2/m 1'
_space_group_IT_number 12
_cell_length_a 15.4211
_cell_length_b 4.2153
_cell_length_c 6.9947
_cell_angle_alpha 90.00
_cell_angle_beta 108.75
_cell_angle_gamma 90.00
loop_
_space_group_symop_operation_xyz
'x,y,z'
'-x,-y,-z'
'-x,y,-z'
'x,-y,z'
'x+1/2,y+1/2,z'
'-x+1/2,-y+1/2,-z'
'-x+1/2,y+1/2,-z'
'x+1/2,-y+1/2,z'
loop_
_atom_site_label
_atom_site_fract_x
_atom_site_fract_y
_atom_site_fract_z
_atom_site_occupancy
Ho1 0.0916 0.0000 0.3907 1
Tm1 0.1560 0.0000 0.9375 1
In1 0.0000 0.5000 0.0000 1
Ni1 0.2171 0.5000 0.6437 1
Ge1 0.0656 0.5000 0.6636 1
Ge2 0.2033 0.5000 0.2688 1
```

The 10 most intense peaks (5° ≤ 2θ ≤ 70°), in order of falling intensity:
Position (°2θ)	d/Å	I_rel	index
34.7	2.584	100	3 1 -2
33.7	2.661	75	3 1 1
36.5	2.459	55	1 1 2
42.9	2.108	53	0 2 0
36.3	2.476	37	5 1 -1
37.5	2.401	33	5 1 0
35.0	2.567	30	6 0 -1
28.0	3.187	28	3 1 0
58.3	1.583	25	9 1 -1
38.2	2.355	23	6 0 -2